[1]
This entry pairs a crystal structure of Ba2LiAl12Cu3 with its computed powder diffraction line list. Radiation: Cu Kα, 1.54184 Å. Structure: a GGA-PBE-relaxed structure.
Lines closer than 0.1° are merged.

Largest 6 diffraction maxima, sorted by position, 5° ≤ 2θ ≤ 70°:
index, 2theta, d (Å), I (rel.)
0 2 1, 22.8, 3.897, 100.0
2 1 1, 30.0, 2.977, 17.0
1 1 6, 35.9, 2.500, 21.3
2 2 0, 39.1, 2.306, 40.1
4 0 1, 45.7, 1.985, 33.9
2 2 9, 61.7, 1.504, 23.5

Structural model:
```
data_Ba2LiAl12Cu3
_chemical_formula_sum 'Ba6 Li3 Al36 Cu9'
_symmetry_space_group_name_H-M 'R -3 m'
_symmetry_Int_Tables_number 166
_symmetry_space_group_name_Hall '-R 3 2"'
_cell_length_a 9.2259
_cell_length_b 9.2259
_cell_length_c 17.8429
_cell_angle_alpha 90.00
_cell_angle_beta 90.00
_cell_angle_gamma 120.00
loop_
_atom_site_label
_atom_site_type_symbol
_atom_site_fract_x
_atom_site_fract_y
_atom_site_fract_z
Ba1 Ba 0.0000 0.0000 0.1009
Li1 Li 0.0000 0.0000 0.5000
Al1 Al 0.0208 0.5104 0.1352
Al2 Al 0.1107 0.2215 0.6263
Cu1 Cu 0.0000 0.5000 0.0000
```

---

[2]
This entry pairs a crystal structure of DyP2PbS8 with its computed powder diffraction line list. Radiation: Cu Kα, 1.54184 Å. Structure: a GGA-PBE-relaxed structure.
Lines closer than 0.1° are merged.

Largest 6 diffraction maxima, sorted by position, 5° ≤ 2θ ≤ 70°:
index, 2theta, d (Å), I (rel.)
1 0 0, 17.1, 5.189, 79.3
1 0 2, 26.1, 3.418, 100.0
1 1 0, 29.8, 2.996, 40.6
2 -1 2, 35.9, 2.501, 68.8
0 2 2, 40.0, 2.253, 29.4
2 1 2, 50.7, 1.801, 32.0

Structural model:
```
data_DyP2PbS8
_chemical_formula_sum 'Dy1 P2 Pb1 S8'
_symmetry_space_group_name_H-M 'P -3'
_symmetry_Int_Tables_number 147
_symmetry_space_group_name_Hall '-P 3'
_cell_length_a 5.9912
_cell_length_b 5.9912
_cell_length_c 9.0872
_cell_angle_alpha 90.00
_cell_angle_beta 90.00
_cell_angle_gamma 120.00
loop_
_atom_site_label
_atom_site_type_symbol
_atom_site_fract_x
_atom_site_fract_y
_atom_site_fract_z
Dy1 Dy 0.0000 0.0000 0.0000
P1 P 0.3333 0.6667 0.2611
Pb1 Pb 0.0000 0.0000 0.5000
S1 S 0.0026 0.6564 0.8017
S2 S 0.3333 0.6667 0.4855
```

---

[3]
This entry pairs a crystal structure of Dy4MgZn2 with its computed powder diffraction line list. Radiation: Cu Kα, 1.54184 Å. Structure: a GGA-PBE-relaxed structure.
Lines closer than 0.1° are merged.

Largest 6 diffraction maxima, sorted by position, 5° ≤ 2θ ≤ 70°:
index, 2theta, d (Å), I (rel.)
1 0 4, 25.1, 3.552, 74.3
1 1 0, 35.3, 2.540, 100.0
0 1 8, 36.2, 2.484, 68.6
2 0 8, 51.5, 1.776, 25.0
0 0 15, 57.5, 1.603, 20.2
1 2 8, 64.0, 1.456, 25.7

Structural model:
```
data_Dy4MgZn2
_chemical_formula_sum 'Dy12 Mg3 Zn6'
_symmetry_space_group_name_H-M 'R -3 m'
_symmetry_Int_Tables_number 166
_symmetry_space_group_name_Hall '-R 3 2"'
_cell_length_a 5.0809
_cell_length_b 5.0809
_cell_length_c 24.0738
_cell_angle_alpha 90.00
_cell_angle_beta 90.00
_cell_angle_gamma 120.00
loop_
_atom_site_label
_atom_site_type_symbol
_atom_site_fract_x
_atom_site_fract_y
_atom_site_fract_z
Dy1 Dy 0.0000 0.0000 0.1115
Dy2 Dy 0.0000 0.0000 0.3663
Mg1 Mg 0.0000 0.0000 0.5000
Zn1 Zn 0.0000 0.0000 0.2403
```

---

[4]
This entry pairs a crystal structure of ZnPRu2 with its computed powder diffraction line list. Radiation: Cu Kα, 1.54184 Å. Structure: a GGA-PBE-relaxed structure.
Lines closer than 0.1° are merged.

Largest 6 diffraction maxima, sorted by position, 5° ≤ 2θ ≤ 70°:
index, 2theta, d (Å), I (rel.)
0 1 0, 24.8, 3.594, 23.1
1 0 1, 39.7, 2.270, 30.3
1 0 -2, 40.5, 2.228, 100.0
1 1 -1, 40.8, 2.214, 39.4
0 1 2, 42.6, 2.124, 89.0
0 2 0, 50.8, 1.797, 27.7

Structural model:
```
data_ZnPRu2
_chemical_formula_sum 'Zn1 P1 Ru2'
_symmetry_space_group_name_H-M 'P 1 2/m 1'
_symmetry_Int_Tables_number 10
_symmetry_space_group_name_Hall '-P 2y'
_cell_length_a 2.931
_cell_length_b 3.594
_cell_length_c 5.440
_cell_angle_alpha 90.00
_cell_angle_beta 104.60
_cell_angle_gamma 90.00
loop_
_atom_site_label
_atom_site_type_symbol
_atom_site_fract_x
_atom_site_fract_y
_atom_site_fract_z
Zn1 Zn 0.000 0.000 0.000
P1 P 0.000 0.000 0.500
Ru1 Ru 0.352 0.500 0.726
```